[1]
For K8Rb3Au4, the GGA-PBE geometry in Alexandria gives the computed powder diffractogram in this record (Cu Kα (weighted mean of Kα1 and Kα2)).
Neutral-atom scattering factors, no anomalous dispersion.

Principal peaks in the range 2θ = 5–70°, by angle:
2θ (°)  Rel. int.
17.71  51
20.48  45
26.70  18
29.12  100
34.29  50
45.59  23
46.84  22
51.62  25
55.01  22
63.44  26

Cell and atoms:
a b c (Å): 12.2671 12.2671 12.2671
angles (deg): 60.00 60.00 60.00
Element x y z (fractional)
K1 0.0155 0.6615 0.6615
K2 0.1166 0.1166 0.1166
K3 0.1166 0.1166 0.6503
K4 0.1166 0.6503 0.1166
K5 0.3385 0.3385 0.3385
K6 0.3385 0.3385 0.9845
K7 0.3385 0.9845 0.3385
K8 0.3497 0.8834 0.8834
K9 0.6503 0.1166 0.1166
K10 0.6615 0.0155 0.6615
K11 0.6615 0.6615 0.0155
K12 0.6615 0.6615 0.6615
K13 0.8834 0.3497 0.8834
K14 0.8834 0.8834 0.3497
K15 0.8834 0.8834 0.8834
K16 0.9845 0.3385 0.3385
Rb1 0.3003 0.3003 0.6997
Rb2 0.3003 0.6997 0.3003
Rb3 0.3003 0.6997 0.6997
Rb4 0.6997 0.3003 0.3003
Rb5 0.6997 0.3003 0.6997
Rb6 0.6997 0.6997 0.3003
Au1 0.0000 0.0000 0.0000
Au2 0.0000 0.0000 0.5000
Au3 0.0000 0.5000 0.0000
Au4 0.0000 0.5000 0.5000
Au5 0.5000 0.0000 0.0000
Au6 0.5000 0.0000 0.5000
Au7 0.5000 0.5000 0.0000
Au8 0.5000 0.5000 0.5000

---

[2]
For Pm4Ho7Tl, the GGA-PBE geometry in Alexandria gives the computed powder diffractogram in this record (Cu Kα (weighted mean of Kα1 and Kα2)).
Neutral-atom scattering factors, no anomalous dispersion.

Principal peaks in the range 2θ = 5–70°, by angle:
2θ (°)  Rel. int.
31.57  94
32.05  100
37.13  3
41.37  4
45.60  34
55.92  15
56.82  36
57.12  19
65.92  9
67.02  12

Cell and atoms:
a b c (Å): 5.5858 5.5858 13.9870
angles (deg): 90.00 90.00 120.00
Element x y z (fractional)
Pm1 0.3333 0.6667 0.1893
Pm2 0.3333 0.6667 0.4298
Pm3 0.6667 0.3333 0.5702
Pm4 0.6667 0.3333 0.8107
Ho1 0.0000 0.0000 0.2312
Ho2 0.0000 0.0000 0.5000
Ho3 0.0000 0.0000 0.7688
Ho4 0.3333 0.6667 0.6763
Ho5 0.3333 0.6667 0.9228
Ho6 0.6667 0.3333 0.0772
Ho7 0.6667 0.3333 0.3237
Tl1 0.0000 0.0000 0.0000

---

[3]
For RbTlS4, the GGA-PBE geometry in Alexandria gives the computed powder diffractogram in this record (Cu Kα (weighted mean of Kα1 and Kα2)).
Neutral-atom scattering factors, no anomalous dispersion.

Principal peaks in the range 2θ = 5–70°, by angle:
2θ (°)  Rel. int.
12.92  35
17.34  34
20.33  26
22.18  37
23.24  34
23.74  71
25.98  100
28.01  46
28.57  23
29.07  38

Cell and atoms:
a b c (Å): 5.2435 5.3589 6.9786
angles (deg): 83.48 80.32 80.80
Element x y z (fractional)
Rb1 0.0000 0.0000 0.0000
Tl1 0.1912 0.3911 0.4446
S1 0.5032 0.7630 0.6227
S2 0.5219 0.4618 0.8401
S3 0.5604 0.5861 0.1026
S4 0.8658 0.8750 0.5300

---

[4]
For Y9In3N2, the GGA-PBE geometry in Alexandria gives the computed powder diffractogram in this record (Cu Kα (weighted mean of Kα1 and Kα2)).
Neutral-atom scattering factors, no anomalous dispersion.

Principal peaks in the range 2θ = 5–70°, by angle:
2θ (°)  Rel. int.
18.27  1
25.95  2
31.92  100
37.02  55
45.77  1
53.36  37
63.54  39
66.73  12

Cell and atoms:
a b c (Å): 6.8651 6.8651 8.4169
angles (deg): 90.00 90.00 120.00
Element x y z (fractional)
Y1 0.0000 0.5000 0.0000
Y2 0.1703 0.3407 0.6715
Y3 0.1703 0.8297 0.6715
Y4 0.3407 0.1703 0.3285
Y5 0.5000 0.0000 0.0000
Y6 0.5000 0.5000 0.0000
Y7 0.6593 0.8297 0.6715
Y8 0.8297 0.1703 0.3285
Y9 0.8297 0.6593 0.3285
In1 0.0000 0.0000 0.0000
In2 0.3333 0.6667 0.3340
In3 0.6667 0.3333 0.6660
N1 0.3333 0.6667 0.8349
N2 0.6667 0.3333 0.1651

---

[5]
For RbCdO, the GGA-PBE geometry in Alexandria gives the computed powder diffractogram in this record (Cu Kα (weighted mean of Kα1 and Kα2)).
Neutral-atom scattering factors, no anomalous dispersion.

Principal peaks in the range 2θ = 5–70°, by angle:
2θ (°)  Rel. int.
16.03  61
18.25  48
22.84  66
26.51  48
28.92  31
30.63  100
31.02  28
35.85  34
41.25  28
46.00  29

Cell and atoms:
a b c (Å): 7.9735 7.9735 9.7596
angles (deg): 123.16 123.16 49.89
Element x y z (fractional)
Rb1 0.0335 0.6369 0.7354
Rb2 0.3631 0.9665 0.7646
Rb3 0.6369 0.0335 0.2354
Rb4 0.9665 0.3631 0.2646
Cd1 0.1746 0.5914 0.1371
Cd2 0.4086 0.8254 0.3629
Cd3 0.5914 0.1746 0.6371
Cd4 0.8254 0.4086 0.8629
O1 0.1783 0.2724 0.0494
O2 0.2724 0.1783 0.5494
O3 0.7276 0.8217 0.4506
O4 0.8217 0.7276 0.9506

---

[6]
For U8NiS17, the GGA-PBE geometry in Alexandria gives the computed powder diffractogram in this record (Cu Kα (weighted mean of Kα1 and Kα2)).
Neutral-atom scattering factors, no anomalous dispersion.

Principal peaks in the range 2θ = 5–70°, by angle:
2θ (°)  Rel. int.
14.71  47
20.04  42
24.61  58
25.61  100
26.16  69
27.32  63
27.96  86
35.77  49
38.88  47
40.93  54

Cell and atoms:
a b c (Å): 7.7751 7.7751 10.2705
angles (deg): 100.05 100.05 64.20
Element x y z (fractional)
U1 0.1806 0.6970 0.7968
U2 0.2022 0.2022 0.9528
U3 0.3030 0.8194 0.2032
U4 0.3165 0.3165 0.4826
U5 0.6835 0.6835 0.5174
U6 0.6970 0.1806 0.7968
U7 0.7978 0.7978 0.0472
U8 0.8194 0.3030 0.2032
Ni1 0.0000 0.0000 0.5000
S1 0.0000 0.0000 0.0000
S2 0.0537 0.0537 0.7229
S3 0.0550 0.6762 0.5297
S4 0.1803 0.5665 0.0353
S5 0.2144 0.2144 0.2201
S6 0.2987 0.2987 0.7425
S7 0.3238 0.9450 0.4703
S8 0.4335 0.8197 0.9647
S9 0.4799 0.4799 0.3303
S10 0.5201 0.5201 0.6697
S11 0.5665 0.1803 0.0353
S12 0.6762 0.0550 0.5297
S13 0.7013 0.7013 0.2575
S14 0.7856 0.7856 0.7799
S15 0.8197 0.4335 0.9647
S16 0.9450 0.3238 0.4703
S17 0.9463 0.9463 0.2771